Diffraction record for Dy4ScZn3. The powder XRD pattern is computed, not measured: it uses a crystal structure in Alexandria, relaxed with PBE and Cu Ka.
Kinematic intensities with the Lorentz-polarization factor, no thermal factor.

Top 10 peaks for 5 to 70 degrees two-theta, by angle:
| index | d/Å | I_rel |
| --- | --- | --- |
| 1 0 4 | 3.631 | 44 |
| 0 1 8 | 2.599 | 89 |
| 1 1 0 | 2.538 | 100 |
| 0 2 4 | 2.080 | 10 |
| 2 0 8 | 1.816 | 30 |
| 2 1 4 | 1.609 | 9 |
| 1 0 16 | 1.513 | 11 |
| 1 2 8 | 1.477 | 31 |
| 3 0 0 | 1.465 | 18 |
| 1 1 15 | 1.423 | 9 |

Structure:
abc: 5.0763 5.0763 25.7741
angles: 90.00 90.00 120.00
Space group R-3m (No. 166, hexagonal axes)
Symmetry-distinct sites (fractional):
Dy 0.0000 0.0000 0.1146 (multiplicity 6)
Dy 0.0000 0.0000 0.3701 (multiplicity 6)
Sc 0.0000 0.0000 0.5000 (multiplicity 3)
Zn 0.0000 0.0000 0.0000 (multiplicity 3)
Zn 0.0000 0.0000 0.2377 (multiplicity 6)